No. 1
Simulated powder X-ray diffraction pattern
Compound: CsDyPb2Br8
Radiation: Cu Ka
Structure: a DFT-relaxed cell (GGA-PBE, Alexandria)
Peak positions follow from Bragg's law for the DFT cell and can differ from measured ones.

Main lines, in order of rising 2θ (10° ≤ 2θ ≤ 90°):
| 2theta | I (rel.) | (hkl) |
| --- | --- | --- |
| 17.42 | 100 | 1 1 0 |
| 18.00 | 82 | 1 -1 0 |
| 21.31 | 43 | 1 0 2 |
| 23.84 | 60 | 1 0 -2 |
| 31.61 | 42 | 2 1 2 |
| 33.39 | 42 | 2 -1 2 |
| 35.27 | 45 | 2 2 0 |
| 35.75 | 39 | -2 1 2 |

Structural model:
abc: 6.996 7.256 9.643
angles: 85.38 83.06 87.60
Space group P-1 (No. 2)
Asymmetric unit:
Cs: 0.000 0.000 0.000 x1
Dy: 0.000 0.000 0.500 x1
Pb: 0.482 0.498 0.249 x2
Br: 0.223 0.819 0.695 x2
Br: 0.231 0.315 0.499 x2
Br: 0.261 0.400 0.034 x2
Br: 0.266 0.868 0.283 x2

=====

No. 2
Simulated powder X-ray diffraction pattern
Compound: Sr3Tl13
Radiation: Cu Ka
Structure: a DFT-relaxed cell (GGA-PBE, Alexandria)
Peak positions follow from Bragg's law for the DFT cell and can differ from measured ones.

Main lines, in order of rising 2θ (10° ≤ 2θ ≤ 90°):
| 2theta | I (rel.) | (hkl) |
| --- | --- | --- |
| 30.86 | 100 | 2 2 2 |
| 34.31 | 18 | 0 0 4 |
| 35.75 | 17 | 0 4 0 |
| 37.25 | 15 | 4 0 0 |
| 50.39 | 12 | 0 4 4 |
| 59.31 | 14 | 2 2 6 |
| 61.22 | 14 | 2 6 2 |
| 63.23 | 13 | 6 2 2 |

Structural model:
abc: 9.656 10.046 10.454
angles: 90.00 90.00 90.00
Space group Amm2 (No. 38)
Asymmetric unit:
Sr: 0.000 0.000 0.000 x2
Sr: 0.259 0.000 0.303 x4
Tl: 0.000 0.000 0.546 x2
Tl: 0.000 0.242 0.272 x4
Tl: 0.256 0.246 0.040 x8
Tl: 0.257 0.000 0.774 x4
Tl: 0.500 0.000 0.040 x2
Tl: 0.500 0.000 0.546 x2
Tl: 0.500 0.236 0.794 x4

=====

No. 3
Simulated powder X-ray diffraction pattern
Compound: Y4TmTe5
Radiation: Cu Ka
Structure: a DFT-relaxed cell (GGA-PBE, Alexandria)
Peak positions follow from Bragg's law for the DFT cell and can differ from measured ones.

Main lines, in order of rising 2θ (10° ≤ 2θ ≤ 90°):
| 2theta | I (rel.) | (hkl) |
| --- | --- | --- |
| 27.85 | 45 | 0 0 10 |
| 29.51 | 100 | 1 1 0 |
| 37.35 | 17 | 1 0 11 |
| 41.02 | 63 | 1 1 10 |
| 42.22 | 37 | 2 0 0 |
| 51.34 | 33 | 2 0 10 |
| 69.42 | 17 | 3 1 0 |
| 76.37 | 20 | 3 1 10 |

Structural model:
abc: 4.281 4.281 32.030
angles: 90.00 90.00 90.00
Space group I4/mmm (No. 139)
Asymmetric unit:
Y: 0.000 0.000 0.110 x4
Y: 0.000 0.000 0.312 x4
Tm: 0.000 0.000 0.500 x2
Te: 0.000 0.000 0.000 x2
Te: 0.000 0.000 0.208 x4
Te: 0.000 0.000 0.407 x4

=====

No. 4
Simulated powder X-ray diffraction pattern
Compound: Tl2InPb2Br7
Radiation: Cu Ka
Structure: a DFT-relaxed cell (GGA-PBE, Alexandria)
Peak positions follow from Bragg's law for the DFT cell and can differ from measured ones.

Main lines, in order of rising 2θ (10° ≤ 2θ ≤ 90°):
| 2theta | I (rel.) | (hkl) |
| --- | --- | --- |
| 13.95 | 58 | 0 1 1 |
| 15.15 | 59 | 1 1 0 |
| 17.78 | 75 | 1 3 0 |
| 21.32 | 60 | 0 5 1 |
| 27.31 | 81 | 0 0 2 |
| 29.84 | 100 | 2 0 0 |
| 33.34 | 64 | 1 9 0 |
| 43.61 | 75 | 1 9 2 |

Structural model:
abc: 5.989 27.068 6.532
angles: 90.00 90.00 90.00
Space group Imm2 (No. 44)
Asymmetric unit:
Tl: 0.000 0.226 0.000 x4
In: 0.000 0.500 0.304 x2
Pb: 0.000 0.108 0.471 x4
Br: 0.000 0.000 0.575 x2
Br: 0.000 0.107 0.034 x4
Br: 0.000 0.222 0.501 x4
Br: 0.000 0.398 0.034 x4

=====

No. 5
Simulated powder X-ray diffraction pattern
Compound: Pm3Pr5Sm2
Radiation: Cu Ka
Structure: a DFT-relaxed cell (GGA-PBE, Alexandria)
Peak positions follow from Bragg's law for the DFT cell and can differ from measured ones.

Main lines, in order of rising 2θ (10° ≤ 2θ ≤ 90°):
| 2theta | I (rel.) | (hkl) |
| --- | --- | --- |
| 28.88 | 92 | 2 2 1 |
| 30.65 | 100 | 2 4 0 |
| 31.65 | 21 | 0 4 2 |
| 32.46 | 46 | 4 0 -2 |
| 35.26 | 23 | 2 0 2 |
| 48.29 | 21 | 0 6 3 |
| 59.40 | 23 | 4 6 1 |
| 61.62 | 26 | 2 4 4 |

Structural model:
abc: 11.033 14.995 10.223
angles: 90.00 122.65 90.00
Space group C2/c (No. 15)
Asymmetric unit:
Pm: 0.000 0.020 0.250 x4
Pm: 0.155 0.375 0.556 x8
Pr: 0.000 0.229 0.250 x4
Pr: 0.000 0.270 0.750 x4
Pr: 0.000 0.478 0.750 x4
Pr: 0.248 0.376 0.244 x8
Sm: 0.152 0.124 0.057 x8

=====

No. 6
Simulated powder X-ray diffraction pattern
Compound: Nd3Sm8Th
Radiation: Cu Ka
Structure: a DFT-relaxed cell (GGA-PBE, Alexandria)
Peak positions follow from Bragg's law for the DFT cell and can differ from measured ones.

Main lines, in order of rising 2θ (10° ≤ 2θ ≤ 90°):
| 2theta | I (rel.) | (hkl) |
| --- | --- | --- |
| 15.55 | 23 | 1 0 1 |
| 30.83 | 69 | 0 4 0 |
| 30.94 | 100 | 1 2 3 |
| 31.40 | 65 | 2 2 0 |
| 34.53 | 23 | 0 2 4 |
| 35.08 | 44 | 2 2 2 |
| 50.55 | 26 | 3 2 3 |
| 64.48 | 26 | 2 4 6 |

Structural model:
abc: 6.540 11.597 11.625
angles: 90.00 90.00 90.00
Space group Immm (No. 71)
Asymmetric unit:
Nd: 0.000 0.000 0.000 x2
Nd: 0.000 0.238 0.500 x4
Sm: 0.000 0.252 0.168 x8
Sm: 0.246 0.500 0.252 x8
Th: 0.000 0.500 0.000 x2

=====

No. 7
Simulated powder X-ray diffraction pattern
Compound: ErFeTcGe3
Radiation: Cu Ka
Structure: a DFT-relaxed cell (GGA-PBE, Alexandria)
Peak positions follow from Bragg's law for the DFT cell and can differ from measured ones.

Main lines, in order of rising 2θ (10° ≤ 2θ ≤ 90°):
| 2theta | I (rel.) | (hkl) |
| --- | --- | --- |
| 22.97 | 45 | 2 0 0 |
| 28.44 | 52 | 2 2 0 |
| 31.89 | 52 | 1 3 1 |
| 33.44 | 55 | 0 4 0 |
| 36.24 | 28 | 0 2 2 |
| 39.77 | 100 | 2 0 2 |
| 46.93 | 36 | 4 0 0 |
| 52.91 | 59 | 2 4 2 |

Structural model:
abc: 7.745 10.718 5.591
angles: 90.00 90.00 90.00
Space group Cmcm (No. 63)
Asymmetric unit:
Er: 0.000 0.247 0.250 x4
Fe: 0.000 0.029 0.750 x4
Tc: 0.000 0.449 0.750 x4
Ge: 0.000 0.233 0.750 x4
Ge: 0.241 0.000 0.000 x8

=====

No. 8
Simulated powder X-ray diffraction pattern
Compound: Ac4Te5
Radiation: Cu Ka
Structure: a DFT-relaxed cell (GGA-PBE, Alexandria)
Peak positions follow from Bragg's law for the DFT cell and can differ from measured ones.

Main lines, in order of rising 2θ (10° ≤ 2θ ≤ 90°):
| 2theta | I (rel.) | (hkl) |
| --- | --- | --- |
| 27.11 | 100 | 1 0 3 |
| 27.91 | 43 | 1 2 1 |
| 29.01 | 70 | 0 2 4 |
| 31.61 | 47 | 0 3 3 |
| 32.44 | 50 | 1 2 3 |
| 33.80 | 74 | 1 3 0 |
| 55.45 | 34 | 1 5 4 |
| 59.08 | 31 | 1 3 8 |

Structural model:
abc: 4.267 10.154 15.485
angles: 90.00 90.00 90.00
Space group Immm (No. 71)
Asymmetric unit:
Ac: 0.000 0.204 0.134 x8
Te: 0.000 0.149 0.500 x4
Te: 0.000 0.500 0.244 x4
Te: 0.000 0.500 0.500 x2

=====

No. 9
Simulated powder X-ray diffraction pattern
Compound: Pr3Ho5Cd2
Radiation: Cu Ka
Structure: a DFT-relaxed cell (GGA-PBE, Alexandria)
Peak positions follow from Bragg's law for the DFT cell and can differ from measured ones.

Main lines, in order of rising 2θ (10° ≤ 2θ ≤ 90°):
| 2theta | I (rel.) | (hkl) |
| --- | --- | --- |
| 26.24 | 27 | 2 3 1 |
| 29.34 | 88 | 4 2 0 |
| 29.44 | 100 | 0 2 2 |
| 36.06 | 42 | 2 5 1 |
| 36.40 | 48 | 0 4 2 |
| 38.11 | 73 | 4 0 2 |
| 54.00 | 21 | 4 6 2 |
| 63.66 | 19 | 4 2 4 |

Structural model:
abc: 13.385 14.659 6.665
angles: 90.00 90.00 90.00
Space group Ibam (No. 72)
Asymmetric unit:
Pr: 0.000 0.000 0.250 x4
Pr: 0.141 0.228 0.000 x8
Ho: 0.000 0.500 0.250 x4
Ho: 0.098 0.329 0.500 x8
Ho: 0.238 0.500 0.250 x8
Cd: 0.139 0.137 0.500 x8

=====

No. 10
Simulated powder X-ray diffraction pattern
Compound: La12Pm7Sm
Radiation: Cu Ka
Structure: a DFT-relaxed cell (GGA-PBE, Alexandria)
Peak positions follow from Bragg's law for the DFT cell and can differ from measured ones.

Main lines, in order of rising 2θ (10° ≤ 2θ ≤ 90°):
| 2theta | I (rel.) | (hkl) |
| --- | --- | --- |
| 27.08 | 37 | 3 3 0 |
| 29.59 | 100 | 0 5 1 |
| 32.28 | 26 | 5 1 1 |
| 32.68 | 29 | 5 2 0 |
| 33.64 | 21 | 3 1 2 |
| 38.39 | 24 | 5 0 2 |
| 39.44 | 20 | 7 0 1 |
| 46.65 | 20 | 0 7 2 |

Structural model:
abc: 19.7573 19.7573 6.4392
angles: 90.00 90.00 120.00
Space group R-3m (No. 166, hexagonal axes)
Asymmetric unit:
La: 0.0000 0.4075 0.0000 x18
La: 0.0960 0.5480 0.4790 x18
Pm: 0.0000 0.0000 0.0000 x3
Pm: 0.0841 0.1682 0.2994 x18
Sm: 0.0000 0.0000 0.5000 x3

=====

No. 11
Simulated powder X-ray diffraction pattern
Compound: Nd3Ge
Radiation: Cu Ka
Structure: a DFT-relaxed cell (GGA-PBE, Alexandria)
Peak positions follow from Bragg's law for the DFT cell and can differ from measured ones.

Main lines, in order of rising 2θ (10° ≤ 2θ ≤ 90°):
| 2theta | I (rel.) | (hkl) |
| --- | --- | --- |
| 29.61 | 100 | 2 3 1 |
| 30.40 | 35 | 3 3 0 |
| 30.75 | 67 | 1 1 2 |
| 32.11 | 69 | 2 4 0 |
| 32.98 | 78 | 4 1 1 |
| 36.74 | 27 | 5 1 0 |
| 37.03 | 40 | 1 3 2 |
| 51.79 | 33 | 5 5 0 |

Structural model:
abc: 12.475 12.475 6.161
angles: 90.00 90.00 90.00
Space group P4_2/n (No. 86, origin choice 2)
Asymmetric unit:
Nd: 0.030 0.572 0.242 x8
Nd: 0.113 0.219 0.017 x8
Nd: 0.136 0.668 0.731 x8
Ge: 0.048 0.208 0.526 x8

=====

No. 12
Simulated powder X-ray diffraction pattern
Compound: Tl3Cd2Pb2
Radiation: Cu Ka
Structure: a DFT-relaxed cell (GGA-PBE, Alexandria)
Peak positions follow from Bragg's law for the DFT cell and can differ from measured ones.

Main lines, in order of rising 2θ (10° ≤ 2θ ≤ 90°):
| 2theta | I (rel.) | (hkl) |
| --- | --- | --- |
| 31.75 | 100 | 1 1 2 |
| 32.05 | 90 | 3 1 -1 |
| 34.48 | 42 | 0 2 0 |
| 35.71 | 35 | 4 0 1 |
| 40.57 | 22 | 2 0 -3 |
| 50.48 | 26 | 4 2 1 |
| 54.27 | 19 | 2 2 -3 |
| 60.07 | 16 | 1 3 2 |

Structural model:
abc: 10.945 5.202 7.161
angles: 90.00 92.67 90.00
Space group C2/m (No. 12)
Asymmetric unit:
Tl: 0.000 0.000 0.000 x2
Tl: 0.207 0.500 0.166 x4
Cd: 0.125 0.000 0.421 x4
Pb: 0.090 0.500 0.696 x4